(1)
# MoF5
Simulated X-ray diffraction stick pattern, a wavelength of 1.5418 Å. Input: a DFT-relaxed cell (GGA+U, the Materials Project).
No peak broadening, texture or thermal motion is included.

Crystal structure
Cell: 3.7323 4.4275 9.4085 Å, 90.00 90.00 90.00°
Space group Immm (No. 71)
Unique sites:
Mo: 0.0000 0.0000 0.0000 [2 per cell]
F: 0.0000 0.0000 0.2012 [4 per cell]
F: 0.0000 0.2658 0.5000 [4 per cell]
F: 0.0000 0.5000 0.0000 [2 per cell]

Top 10 peaks for 2θ from 10° to 80°, sorted by position:
18.86 deg, d = 4.704 Å, intensity 100.0; 22.19 deg, d = 4.006 Å, intensity 74.4; 25.68 deg, d = 3.469 Å, intensity 47.4; 31.35 deg, d = 2.854 Å, intensity 45.5; 38.27 deg, d = 2.352 Å, intensity 28.8; 48.80 deg, d = 1.866 Å, intensity 69.0; 50.27 deg, d = 1.815 Å, intensity 13.9; 52.82 deg, d = 1.733 Å, intensity 22.2; 56.55 deg, d = 1.628 Å, intensity 18.2; 70.34 deg, d = 1.338 Å, intensity 19.5


(2)
# MoF5
Simulated X-ray diffraction stick pattern, a wavelength of 1.5418 Å. Input: a DFT-relaxed cell (GGA+U, the Materials Project).
No peak broadening, texture or thermal motion is included.

Crystal structure
Cell: 9.9932 14.6261 5.4716 Å, 90.00 92.35 90.00°
Space group C2/m (No. 12)
Unique sites:
Mo: 0.0000 0.2017 0.0000 [4 per cell]
Mo: 0.2441 0.5000 0.2624 [4 per cell]
F: 0.0946 0.1841 0.2954 [8 per cell]
F: 0.1167 0.2906 0.8821 [8 per cell]
F: 0.1268 0.0996 0.8725 [8 per cell]
F: 0.1346 0.4070 0.3796 [8 per cell]
F: 0.1374 0.0000 0.4669 [4 per cell]
F: 0.1681 0.5000 0.9468 [4 per cell]

Top 10 peaks for 2θ from 10° to 80°, sorted by position:
16.21 deg, d = 5.467 Å, intensity 25.9; 19.17 deg, d = 4.629 Å, intensity 19.3; 19.79 deg, d = 4.487 Å, intensity 55.2; 20.28 deg, d = 4.380 Å, intensity 55.4; 21.55 deg, d = 4.123 Å, intensity 100.0; 24.34 deg, d = 3.657 Å, intensity 14.3; 25.83 deg, d = 3.449 Å, intensity 56.7; 38.18 deg, d = 2.357 Å, intensity 27.3; 43.99 deg, d = 2.059 Å, intensity 53.3; 59.07 deg, d = 1.564 Å, intensity 17.5


(3)
# MoF4
Simulated X-ray diffraction stick pattern, a wavelength of 1.5418 Å. Input: a DFT-relaxed cell (GGA+U, the Materials Project).
No peak broadening, texture or thermal motion is included.

Crystal structure
Cell: 5.0693 5.3331 6.3782 Å, 113.59 110.85 90.02°
Space group P1 (No. 1)
Unique sites:
Mo: 0.0000 0.0000 0.0000 [1 per cell]
Mo: 0.4422 0.5008 0.0012 [1 per cell]
F: 0.1157 0.6438 0.7875 [1 per cell]
F: 0.1361 0.1448 0.7883 [1 per cell]
F: 0.2826 0.3812 0.2263 [1 per cell]
F: 0.3608 0.8818 0.2252 [1 per cell]
F: 0.5407 0.3715 0.7205 [1 per cell]
F: 0.6497 0.8709 0.7187 [1 per cell]
F: 0.7528 0.2914 0.1444 [1 per cell]
F: 0.8186 0.7925 0.1453 [1 per cell]

Top 10 peaks for 2θ from 10° to 80°, sorted by position:
16.46 deg, d = 5.386 Å, intensity 100.0; 24.24 deg, d = 3.672 Å, intensity 62.2; 28.75 deg, d = 3.105 Å, intensity 16.8; 29.13 deg, d = 3.065 Å, intensity 17.8; 29.72 deg, d = 3.006 Å, intensity 15.4; 30.15 deg, d = 2.964 Å, intensity 15.9; 40.55 deg, d = 2.224 Å, intensity 6.9; 48.11 deg, d = 1.891 Å, intensity 8.6; 49.66 deg, d = 1.836 Å, intensity 13.0; 50.68 deg, d = 1.801 Å, intensity 7.7